Simulated PXRD pattern of Ho3RhPb2 for CuKα, from DFT lattice parameters and positions (GGA-PBE).
Intensities are scaled so that the largest is 100.

```
data_Ho3RhPb2
_chemical_formula_sum 'Ho12 Rh4 Pb8'
_cell_length_a 14.318
_cell_length_b 6.199
_cell_length_c 7.350
_cell_angle_alpha 90.00
_cell_angle_beta 105.31
_cell_angle_gamma 90.00
_symmetry_space_group_name_H-M 'C 1 2/c 1'
_symmetry_Int_Tables_number 15
_symmetry_space_group_name_Hall '-C 2yc'
loop_
_atom_site_label
_atom_site_fract_x
_atom_site_fract_y
_atom_site_fract_z
_atom_site_occupancy
Ho1 0.000 0.190 0.250 1
Ho2 0.155 0.414 0.620 1
Rh1 0.000 0.350 0.750 1
Pb1 0.156 0.096 0.022 1
```

Most intense lines, 10° ≤ 2θ ≤ 80°, most intense first:
2theta, d_spacing, I_rel, h k l
31.03, 2.882, 100, 4 0 -2
31.24, 2.863, 91, 2 0 2
39.12, 2.303, 64, 6 0 0
35.43, 2.534, 63, 2 2 1
31.50, 2.840, 42, 0 2 1
32.81, 2.730, 32, 2 2 -1